1.
Structure and calculated XRD peak list of LaGaBi2 (DFT lattice parameters and positions (PBE); Cu Kα X-rays).
Intensities are scaled so that the largest is 1000.

Atomic structure:
```
data_LaGaBi2
_cell_length_a 13.7572
_cell_length_b 13.7572
_cell_length_c 4.4332
_cell_angle_alpha 90.00
_cell_angle_beta 90.00
_cell_angle_gamma 120.00
_space_group_name_H-M_alt 'P 1'
_space_group_IT_number 1
loop_
_space_group_symop_operation_xyz
'x,y,z'
loop_
_atom_site_label
_atom_site_fract_x
_atom_site_fract_y
_atom_site_fract_z
_atom_site_occupancy
La1 0.2259 0.4518 0.0000 1
La2 0.2259 0.7741 0.0000 1
La3 0.4518 0.2259 0.0000 1
La4 0.5482 0.7741 0.0000 1
La5 0.7741 0.2259 0.0000 1
La6 0.7741 0.5482 0.0000 1
Ga1 0.0000 0.1813 0.0000 1
Ga2 0.0000 0.8187 0.0000 1
Ga3 0.1813 0.0000 0.0000 1
Ga4 0.1813 0.1813 0.0000 1
Ga5 0.8187 0.0000 0.0000 1
Ga6 0.8187 0.8187 0.0000 1
Bi1 0.0000 0.0000 0.5000 1
Bi2 0.0000 0.3250 0.5000 1
Bi3 0.0000 0.5000 0.0000 1
Bi4 0.0000 0.6750 0.5000 1
Bi5 0.3250 0.0000 0.5000 1
Bi6 0.3250 0.3250 0.5000 1
Bi7 0.3333 0.6667 0.5000 1
Bi8 0.5000 0.0000 0.0000 1
Bi9 0.5000 0.5000 0.0000 1
Bi10 0.6667 0.3333 0.5000 1
Bi11 0.6750 0.0000 0.5000 1
Bi12 0.6750 0.6750 0.5000 1
```

Main lines, by angle (15° ≤ 2θ ≤ 90°):
Position (°2θ)	I_rel
22.39	181
30.00	153
30.21	1000
33.83	113
39.29	191
40.70	156
45.69	145
57.86	126
62.83	114
65.67	211

***

2.
Structure and calculated XRD peak list of NaBF4 (DFT lattice parameters and positions (PBE); Cu Kα X-rays).
Intensities are scaled so that the largest is 1000.

Atomic structure:
```
data_NaBF4
_cell_length_a 4.6839
_cell_length_b 4.6839
_cell_length_c 6.9176
_cell_angle_alpha 90.00
_cell_angle_beta 90.00
_cell_angle_gamma 84.51
_space_group_name_H-M_alt 'P 1'
_space_group_IT_number 1
loop_
_space_group_symop_operation_xyz
'x,y,z'
loop_
_atom_site_label
_atom_site_fract_x
_atom_site_fract_y
_atom_site_fract_z
_atom_site_occupancy
Na1 0.1524 0.8476 0.7500 1
Na2 0.8476 0.1524 0.2500 1
B1 0.3425 0.6575 0.2500 1
B2 0.6575 0.3425 0.7500 1
F1 0.2099 0.7901 0.0841 1
F2 0.2099 0.7901 0.4159 1
F3 0.3075 0.3606 0.2500 1
F4 0.3606 0.3075 0.7500 1
F5 0.6394 0.6925 0.2500 1
F6 0.6925 0.6394 0.7500 1
F7 0.7901 0.2099 0.5841 1
F8 0.7901 0.2099 0.9159 1
```

Main lines, by angle (15° ≤ 2θ ≤ 90°):
Position (°2θ)	I_rel
25.73	1000
31.20	237
38.63	645
41.62	292
43.80	342
45.11	240
48.96	189
49.60	180
58.40	174
61.14	138